The following is a simulated XRD peak list of ZnCr. It was derived from a structure optimized by DFT (GGA-PBE), using Cu Kα (λ = 1.5418 Å).
No peak broadening, texture or thermal motion is included.

Principal peaks in the range 10 to 80 degrees two-theta, sorted by position:
| 2theta | I (rel.) |
| --- | --- |
| 21.62 | 3 |
| 36.21 | 2 |
| 42.56 | 100 |
| 44.06 | 22 |
| 52.14 | 26 |
| 57.08 | 1 |
| 58.30 | 1 |
| 70.59 | 20 |
| 76.85 | 8 |
| 79.99 | 13 |

Structure:
```
ZnCr
1.0
2.481 0.000 0.000
0.000 2.481 0.000
0.000 0.000 4.111
Zn Cr
1 1
direct
0.000 0.000 0.000 Zn
0.500 0.500 0.500 Cr
```

The following is a simulated XRD peak list of ZnCr3. It was derived from a structure optimized by DFT (GGA-PBE), using Cu Kα (λ = 1.5418 Å).
No peak broadening, texture or thermal motion is included.

Principal peaks in the range 10 to 80 degrees two-theta, sorted by position:
| 2theta | I (rel.) |
| --- | --- |
| 19.68 | 1 |
| 29.06 | 5 |
| 34.43 | 1 |
| 39.97 | 25 |
| 43.10 | 28 |
| 45.66 | 100 |
| 53.76 | 3 |
| 56.29 | 1 |
| 60.23 | 13 |
| 65.99 | 2 |
| 71.26 | 2 |
| 72.60 | 13 |

Structure:
```
ZnCr3
1.0
5.209 0.000 0.000
-2.605 4.511 0.000
0.000 0.000 4.198
Zn Cr
2 6
direct
0.333 0.667 0.250 Zn
0.667 0.333 0.750 Zn
0.153 0.306 0.750 Cr
0.153 0.847 0.750 Cr
0.306 0.153 0.250 Cr
0.694 0.847 0.750 Cr
0.847 0.153 0.250 Cr
0.847 0.694 0.250 Cr
```

The following is a simulated XRD peak list of Zn3Cr. It was derived from a structure optimized by DFT (GGA-PBE), using Cu Kα (λ = 1.5418 Å).
No peak broadening, texture or thermal motion is included.

Principal peaks in the range 10 to 80 degrees two-theta, sorted by position:
| 2theta | I (rel.) |
| --- | --- |
| 28.09 | 2 |
| 35.80 | 1 |
| 41.80 | 26 |
| 42.22 | 100 |
| 44.12 | 22 |
| 45.40 | 1 |
| 60.07 | 8 |
| 62.40 | 15 |
| 75.86 | 7 |
| 76.61 | 15 |
| 77.48 | 7 |
| 79.85 | 14 |

Structure:
```
Zn3Cr
1.0
4.322 -3.080 0.000
4.322 3.080 0.000
0.000 0.000 4.105
Zn Cr
6 2
direct
0.122 0.384 0.750 Zn
0.125 0.875 0.750 Zn
0.384 0.122 0.250 Zn
0.616 0.878 0.750 Zn
0.875 0.125 0.250 Zn
0.878 0.616 0.250 Zn
0.402 0.598 0.250 Cr
0.598 0.402 0.750 Cr
```

The following is a simulated XRD peak list of Zn4Cr5. It was derived from a structure optimized by DFT (GGA-PBE), using Cu Kα (λ = 1.5418 Å).
No peak broadening, texture or thermal motion is included.

Principal peaks in the range 10 to 80 degrees two-theta, sorted by position:
| 2theta | I (rel.) |
| --- | --- |
| 14.83 | 2 |
| 29.92 | 1 |
| 30.20 | 1 |
| 37.10 | 1 |
| 43.03 | 100 |
| 45.56 | 42 |
| 58.42 | 9 |
| 62.33 | 1 |
| 66.41 | 12 |
| 77.06 | 15 |

Structure:
```
Zn4Cr5
1.0
-4.223 4.223 1.580
4.223 -4.223 1.580
4.223 4.223 -1.580
Zn Cr
4 5
direct
0.000 0.329 0.329 Zn
0.000 0.671 0.671 Zn
0.329 0.000 0.329 Zn
0.671 0.000 0.671 Zn
0.000 0.000 0.000 Cr
0.329 0.329 0.659 Cr
0.329 0.671 0.000 Cr
0.671 0.329 0.000 Cr
0.671 0.671 0.341 Cr
```

The following is a simulated XRD peak list of ZnCr. It was derived from a structure optimized by DFT (GGA-PBE), using Cu Kα (λ = 1.5418 Å).
No peak broadening, texture or thermal motion is included.

Principal peaks in the range 10 to 80 degrees two-theta, sorted by position:
| 2theta | I (rel.) |
| --- | --- |
| 16.61 | 19 |
| 24.65 | 32 |
| 42.11 | 100 |
| 43.22 | 32 |
| 43.86 | 39 |
| 44.04 | 34 |
| 51.36 | 17 |
| 63.41 | 19 |
| 69.93 | 12 |
| 76.83 | 8 |
| 77.28 | 7 |
| 79.65 | 13 |

Structure:
```
ZnCr
1.0
7.547 0.000 0.000
0.000 7.547 0.000
0.000 0.000 4.112
Zn Cr
8 8
direct
0.130 0.197 0.000 Zn
0.197 0.870 0.000 Zn
0.303 0.370 0.500 Zn
0.370 0.697 0.500 Zn
0.630 0.303 0.500 Zn
0.697 0.630 0.500 Zn
0.803 0.130 0.000 Zn
0.870 0.803 0.000 Zn
0.041 0.639 0.500 Cr
0.139 0.541 0.000 Cr
0.361 0.041 0.500 Cr
0.459 0.139 0.000 Cr
0.541 0.861 0.000 Cr
0.639 0.959 0.500 Cr
0.861 0.459 0.000 Cr
0.959 0.361 0.500 Cr
```

The following is a simulated XRD peak list of ZnCr. It was derived from a structure optimized by DFT (GGA-PBE), using Cu Kα (λ = 1.5418 Å).
No peak broadening, texture or thermal motion is included.

Principal peaks in the range 10 to 80 degrees two-theta, sorted by position:
| 2theta | I (rel.) |
| --- | --- |
| 28.35 | 6 |
| 38.28 | 12 |
| 42.11 | 44 |
| 43.02 | 100 |
| 44.05 | 47 |
| 44.39 | 76 |
| 47.81 | 11 |
| 62.58 | 25 |
| 64.47 | 11 |
| 76.63 | 12 |
| 78.13 | 7 |
| 79.52 | 6 |

Structure:
```
ZnCr
1.0
2.537 0.000 0.000
0.000 4.111 0.000
-0.551 0.000 4.893
Zn Cr
2 2
direct
0.040 0.250 0.367 Zn
0.960 0.750 0.633 Zn
0.416 0.750 0.112 Cr
0.584 0.250 0.888 Cr
```

The following is a simulated XRD peak list of ZrCr3. It was derived from a structure optimized by DFT (GGA-PBE), using Cu Kα (λ = 1.5418 Å).
No peak broadening, texture or thermal motion is included.

Principal peaks in the range 10 to 80 degrees two-theta, sorted by position:
| 2theta | I (rel.) |
| --- | --- |
| 28.39 | 28 |
| 40.00 | 55 |
| 40.76 | 100 |
| 41.31 | 80 |
| 42.22 | 9 |
| 46.33 | 36 |
| 55.90 | 12 |
| 58.29 | 8 |
| 62.84 | 25 |
| 72.80 | 17 |
| 73.93 | 9 |
| 75.45 | 9 |

Structure:
```
ZrCr3
1.0
2.817 0.000 0.000
0.000 3.920 0.000
-1.130 0.000 5.266
Zr Cr
1 3
direct
0.000 0.000 0.000 Zr
0.247 0.500 0.691 Cr
0.500 0.000 0.500 Cr
0.753 0.500 0.309 Cr
```

The following is a simulated XRD peak list of Zr4Cr3. It was derived from a structure optimized by DFT (GGA-PBE), using Cu Kα (λ = 1.5418 Å).
No peak broadening, texture or thermal motion is included.

Principal peaks in the range 10 to 80 degrees two-theta, sorted by position:
| 2theta | I (rel.) |
| --- | --- |
| 24.60 | 8 |
| 30.89 | 12 |
| 31.24 | 22 |
| 33.66 | 14 |
| 37.03 | 100 |
| 42.64 | 51 |
| 45.88 | 22 |
| 53.58 | 9 |
| 57.90 | 8 |
| 61.89 | 16 |
| 73.98 | 12 |
| 74.37 | 23 |

Structure:
```
Zr4Cr3
1.0
-1.499 1.499 14.474
1.499 -1.499 14.474
1.499 1.499 -14.474
Zr Cr
4 3
direct
0.063 0.063 0.000 Zr
0.337 0.337 0.000 Zr
0.663 0.663 0.000 Zr
0.937 0.937 0.000 Zr
0.229 0.229 0.000 Cr
0.500 0.500 0.000 Cr
0.771 0.771 0.000 Cr
```